# AlSnHg
Theoretical powder diffraction line list, copper Kα. Input: the PBE geometry in Alexandria.

Main lines, by angle (10 to 90 degrees two-theta):
Position (°2θ)	I_rel	hkl
25.99	46	0 0 2
27.07	94	2 1 0
35.50	33	4 0 0
37.88	100	2 1 2
41.62	21	0 2 0
44.52	23	4 0 2
55.83	18	4 2 0
65.32	21	6 1 2

Structural model:
a b c (Å): 10.114 4.340 6.858
angles (deg): 90.00 90.00 90.00
Space group Pnma (No. 62)
Asymmetric unit:
Al (0.122, 0.250, 0.237) (multiplicity 4)
Sn (0.123, 0.750, 0.516) (multiplicity 4)
Hg (0.127, 0.750, 0.969) (multiplicity 4)

# Ti4OsRu
Theoretical powder diffraction line list, copper Kα. Input: the PBE geometry in Alexandria.

Main lines, by angle (10 to 90 degrees two-theta):
Position (°2θ)	I_rel	hkl
25.54	100	2 0 0
25.82	32	0 0 2
42.26	70	0 2 0
42.62	69	2 0 2
50.03	16	2 2 0
50.19	32	3 1 1
50.50	16	1 1 3
61.58	22	2 2 2

Structural model:
a b c (Å): 7.414 4.273 7.328
angles (deg): 90.00 109.64 90.00
Space group C2/m (No. 12)
Asymmetric unit:
Ti (0.125, 0.000, 0.375) (multiplicity 4)
Ti (0.125, 0.500, 0.875) (multiplicity 4)
Os (0.000, 0.000, 0.000) (multiplicity 2)
Ru (0.000, 0.500, 0.500) (multiplicity 2)